[1]
Simulated PXRD pattern
Compound: HoNiB4
Radiation: Cu Ka
Structure: a GGA-PBE-relaxed structure
Kinematic intensities with the Lorentz-polarization factor, no thermal factor.

Crystal structure
Unit cell a=6.8077 b=6.8077 c=6.8077 alpha=112.91 beta=112.91 gamma=102.79
Fractional coordinates of all 24 atoms:
Ho: 0.2033 0.2033 0.0000
Ho: 0.2500 0.7500 0.5000
Ho: 0.7500 0.2500 0.5000
Ho: 0.7967 0.7967 0.0000
Ni: 0.2708 0.5000 0.7708
Ni: 0.5000 0.2708 0.7708
Ni: 0.5000 0.7292 0.2292
Ni: 0.7292 0.5000 0.2292
B: 0.1113 0.2754 0.3866
B: 0.1113 0.7246 0.8359
B: 0.1138 0.1138 0.5330
B: 0.1138 0.5807 0.0000
B: 0.2754 0.1113 0.3866
B: 0.2754 0.8887 0.1641
B: 0.4193 0.4193 0.5330
B: 0.4193 0.8862 0.0000
B: 0.5807 0.1138 0.0000
B: 0.5807 0.5807 0.4670
B: 0.7246 0.1113 0.8359
B: 0.7246 0.8887 0.6134
B: 0.8862 0.4193 0.0000
B: 0.8862 0.8862 0.4670
B: 0.8887 0.2754 0.1641
B: 0.8887 0.7246 0.6134

Most intense lines, 2θ = 10–90°, low angle first:
d/Å	2θ (°)	Rel. int.
3.762	23.65	77
3.128	28.53	21
2.816	31.77	86
2.660	33.70	21
2.650	33.82	29
2.254	39.99	100
1.880	48.41	42
1.682	54.55	21
1.564	59.06	27
1.318	71.59	24

[2]
Simulated PXRD pattern
Compound: Ag7SnHg3
Radiation: Cu Ka
Structure: a GGA-PBE-relaxed structure
Kinematic intensities with the Lorentz-polarization factor, no thermal factor.

Crystal structure
Unit cell a=7.0011 b=7.0011 c=5.5028 alpha=108.34 beta=108.34 gamma=90.23
Fractional coordinates of all 11 atoms:
Ag: 0.0000 0.0000 0.0000
Ag: 0.0790 0.5669 0.3200
Ag: 0.2790 0.2790 0.9573
Ag: 0.4331 0.9210 0.6800
Ag: 0.5669 0.0790 0.3200
Ag: 0.7210 0.7210 0.0427
Ag: 0.9210 0.4331 0.6800
Sn: 0.0000 0.0000 0.5000
Hg: 0.2952 0.7048 0.0000
Hg: 0.5000 0.5000 0.5000
Hg: 0.7048 0.2952 0.0000

Most intense lines, 2θ = 10–90°, low angle first:
d/Å	2θ (°)	Rel. int.
4.419	20.09	22
3.296	27.05	41
2.730	32.80	55
2.480	36.22	52
2.455	36.60	19
2.397	37.52	100
2.317	38.87	25
2.211	40.81	53
2.206	40.92	25
1.836	49.66	22

[3]
Simulated PXRD pattern
Compound: LaNd7Er4
Radiation: Cu Ka
Structure: a GGA-PBE-relaxed structure
Kinematic intensities with the Lorentz-polarization factor, no thermal factor.

Crystal structure
Unit cell a=6.3424 b=7.3181 c=9.0142 alpha=90.02 beta=103.59 gamma=90.03
Fractional coordinates of all 12 atoms:
La: 0.0000 0.0000 0.0000
Nd: 0.0000 0.5000 0.0000
Nd: 0.2233 0.9998 0.6647
Nd: 0.2810 0.2522 0.3368
Nd: 0.4998 0.2545 0.9974
Nd: 0.5002 0.7455 0.0026
Nd: 0.7190 0.7478 0.6632
Nd: 0.7767 0.0002 0.3353
Er: 0.2179 0.4999 0.6637
Er: 0.2777 0.7441 0.3351
Er: 0.7223 0.2559 0.6649
Er: 0.7821 0.5001 0.3363

Most intense lines, 2θ = 10–90°, low angle first:
d/Å	2θ (°)	Rel. int.
3.147	28.36	36
3.082	28.97	19
2.921	30.61	51
2.855	31.33	100
2.715	33.00	92
1.830	49.82	40
1.705	53.77	21
1.615	57.01	20
1.551	59.62	46
1.142	84.96	19

[4]
Simulated PXRD pattern
Compound: Ta6Cr3Ni3C2
Radiation: Cu Ka
Structure: a GGA-PBE-relaxed structure
Kinematic intensities with the Lorentz-polarization factor, no thermal factor.

Crystal structure
Unit cell a=8.0877 b=8.0877 c=8.0877 alpha=120.35 beta=119.85 gamma=89.83
Fractional coordinates of all 28 atoms:
Ta: 0.0000 0.0000 0.0000
Ta: 0.2462 0.1354 0.5002
Ta: 0.2462 0.7459 0.1108
Ta: 0.2485 0.7485 0.5000
Ta: 0.3837 0.9998 0.0006
Ta: 0.3837 0.3831 0.3840
Ta: 0.3844 0.3844 0.0000
Ta: 0.6352 0.1354 0.8892
Ta: 0.6352 0.7459 0.4998
Ta: 0.6382 0.1382 0.5000
Ta: 0.9992 0.9998 0.6160
Ta: 0.9992 0.3831 0.9994
Cr: 0.0211 0.3679 0.6531
Cr: 0.3211 0.5690 0.7521
Cr: 0.7148 0.3679 0.3469
Cr: 0.8145 0.0683 0.2539
Cr: 0.8145 0.5606 0.7461
Cr: 0.8168 0.5690 0.2479
Ni: 0.0229 0.3646 0.3418
Ni: 0.0229 0.6811 0.6582
Ni: 0.6113 0.4528 0.8415
Ni: 0.6113 0.7698 0.1585
Ni: 0.6142 0.7704 0.8438
Ni: 0.9267 0.7704 0.1562
C: 0.3156 0.0661 0.2495
C: 0.3161 0.0660 0.7498
C: 0.3161 0.5663 0.2502
C: 0.8166 0.0661 0.7505

Most intense lines, 2θ = 10–90°, low angle first:
d/Å	2θ (°)	Rel. int.
6.601	13.41	20
2.858	31.30	44
2.628	34.12	24
2.338	38.50	48
2.326	38.70	31
2.204	40.96	100
2.195	41.13	67
2.022	44.83	30
1.602	57.55	18
1.348	69.75	46

[5]
Simulated PXRD pattern
Compound: Cu2IrSe4
Radiation: Cu Ka
Structure: a GGA-PBE-relaxed structure
Kinematic intensities with the Lorentz-polarization factor, no thermal factor.

Crystal structure
Unit cell a=7.3427 b=7.3427 c=10.4301 alpha=90.00 beta=90.00 gamma=90.00
Fractional coordinates of all 28 atoms:
Cu: 0.0000 0.2437 0.0000
Cu: 0.0000 0.7563 0.5000
Cu: 0.2437 0.0000 0.7500
Cu: 0.2574 0.2574 0.3750
Cu: 0.2574 0.7426 0.1250
Cu: 0.7426 0.2574 0.6250
Cu: 0.7426 0.7426 0.8750
Cu: 0.7563 0.0000 0.2500
Ir: 0.2368 0.5000 0.7500
Ir: 0.5000 0.2368 0.0000
Ir: 0.5000 0.7632 0.5000
Ir: 0.7632 0.5000 0.2500
Se: 0.0092 0.2512 0.7585
Se: 0.0092 0.7488 0.7415
Se: 0.2512 0.0092 0.9915
Se: 0.2512 0.9908 0.5085
Se: 0.2527 0.4746 0.9895
Se: 0.2527 0.5254 0.5105
Se: 0.4746 0.2527 0.7605
Se: 0.4746 0.7472 0.7395
Se: 0.5254 0.2527 0.2395
Se: 0.5254 0.7472 0.2605
Se: 0.7472 0.4746 0.0105
Se: 0.7472 0.5254 0.4895
Se: 0.7488 0.0092 0.0085
Se: 0.7488 0.9908 0.4915
Se: 0.9908 0.2512 0.2415
Se: 0.9908 0.7488 0.2585

Most intense lines, 2θ = 10–90°, low angle first:
d/Å	2θ (°)	Rel. int.
6.004	14.75	62
4.648	19.09	20
3.135	28.47	100
2.608	34.39	44
2.596	34.55	86
1.999	45.37	39
1.840	49.55	97
1.836	49.66	48
1.501	61.81	29
1.161	83.17	23

[6]
Simulated PXRD pattern
Compound: Ac2Ge3Ru2
Radiation: Cu Ka
Structure: a GGA-PBE-relaxed structure
Kinematic intensities with the Lorentz-polarization factor, no thermal factor.

Crystal structure
Unit cell a=6.0051 b=6.0051 c=7.6157 alpha=116.59 beta=116.59 gamma=39.66
Fractional coordinates of all 7 atoms:
Ac: 0.1383 0.1383 0.2626
Ac: 0.8617 0.8617 0.7374
Ge: 0.3511 0.3511 0.0623
Ge: 0.5000 0.5000 0.5000
Ge: 0.6489 0.6489 0.9377
Ru: 0.1291 0.1291 0.7057
Ru: 0.8709 0.8709 0.2943

Most intense lines, 2θ = 10–90°, low angle first:
d/Å	2θ (°)	Rel. int.
3.770	23.60	37
3.349	26.62	37
3.058	29.21	30
2.764	32.39	84
2.704	33.13	49
2.570	34.91	45
2.541	35.33	100
2.484	36.16	42
2.306	39.07	64
2.037	44.47	40

[7]
Simulated PXRD pattern
Compound: HoSc2Ga2Ag2
Radiation: Cu Ka
Structure: a GGA-PBE-relaxed structure
Kinematic intensities with the Lorentz-polarization factor, no thermal factor.

Crystal structure
Unit cell a=8.8004 b=8.8004 c=8.8004 alpha=29.79 beta=29.79 gamma=29.79
Fractional coordinates of all 7 atoms:
Ho: 0.0000 0.0000 0.0000
Sc: 0.1291 0.1291 0.1291
Sc: 0.8709 0.8709 0.8709
Ga: 0.2512 0.2512 0.2512
Ga: 0.7488 0.7488 0.7488
Ag: 0.4073 0.4073 0.4073
Ag: 0.5927 0.5927 0.5927

Most intense lines, 2θ = 10–90°, low angle first:
d/Å	2θ (°)	Rel. int.
8.404	10.53	36
4.202	21.14	15
3.094	28.86	64
2.652	33.80	58
2.456	36.59	49
2.262	39.85	100
1.721	53.22	15
1.539	60.10	24
1.349	69.70	18
1.306	72.35	16

[8]
Simulated PXRD pattern
Compound: Ir3OsRu2
Radiation: Cu Ka
Structure: a GGA-PBE-relaxed structure
Kinematic intensities with the Lorentz-polarization factor, no thermal factor.

Crystal structure
Unit cell a=5.4306 b=3.8500 c=8.1916 alpha=90.00 beta=90.10 gamma=90.00
Fractional coordinates of all 12 atoms:
Ir: 0.1243 0.2500 0.0832
Ir: 0.3719 0.7500 0.5881
Ir: 0.3751 0.7500 0.2472
Ir: 0.6249 0.2500 0.7528
Ir: 0.6281 0.2500 0.4119
Ir: 0.8757 0.7500 0.9168
Os: 0.1262 0.2500 0.7473
Os: 0.8738 0.7500 0.2527
Ru: 0.1218 0.2500 0.4198
Ru: 0.3743 0.7500 0.9145
Ru: 0.6257 0.2500 0.0855
Ru: 0.8782 0.7500 0.5802

Most intense lines, 2θ = 10–90°, low angle first:
d/Å	2θ (°)	Rel. int.
2.227	40.50	100
2.219	40.66	99
1.925	47.21	97
1.361	68.99	42
1.164	82.99	13
1.162	83.15	25
1.160	83.29	26
1.158	83.44	13
1.114	87.62	11
1.109	88.03	11

[9]
Simulated PXRD pattern
Compound: Ti6BAs2
Radiation: Cu Ka
Structure: a GGA-PBE-relaxed structure
Kinematic intensities with the Lorentz-polarization factor, no thermal factor.

Crystal structure
Unit cell a=5.5388 b=5.5388 c=10.7222 alpha=90.00 beta=90.00 gamma=90.00
Fractional coordinates of all 18 atoms:
Ti: 0.1896 0.1896 0.1450
Ti: 0.1896 0.1896 0.8550
Ti: 0.2238 0.2238 0.5000
Ti: 0.2762 0.7238 0.0000
Ti: 0.3104 0.6896 0.3550
Ti: 0.3104 0.6896 0.6450
Ti: 0.6896 0.3104 0.3550
Ti: 0.6896 0.3104 0.6450
Ti: 0.7238 0.2762 0.0000
Ti: 0.7762 0.7762 0.5000
Ti: 0.8104 0.8104 0.1450
Ti: 0.8104 0.8104 0.8550
B: 0.0000 0.0000 0.0000
B: 0.5000 0.5000 0.5000
As: 0.0000 0.0000 0.3318
As: 0.0000 0.0000 0.6682
As: 0.5000 0.5000 0.1682
As: 0.5000 0.5000 0.8318

Most intense lines, 2θ = 10–90°, low angle first:
d/Å	2θ (°)	Rel. int.
3.917	22.70	90
2.640	33.96	100
2.477	36.27	32
2.461	36.52	23
2.413	37.26	19
2.036	44.50	78
1.958	46.37	41
1.787	51.11	18
1.640	56.07	49
1.320	71.47	17

[10]
Simulated PXRD pattern
Compound: Ca2Ga6Cu3
Radiation: Cu Ka
Structure: a GGA-PBE-relaxed structure
Kinematic intensities with the Lorentz-polarization factor, no thermal factor.

Crystal structure
Unit cell a=7.5997 b=7.5997 c=4.1176 alpha=90.00 beta=90.00 gamma=120.00
Fractional coordinates of all 11 atoms:
Ca: 0.3333 0.6667 0.0000
Ca: 0.6667 0.3333 0.0000
Ga: 0.0000 0.1993 0.0000
Ga: 0.0000 0.6933 0.5000
Ga: 0.1993 0.0000 0.0000
Ga: 0.3067 0.3067 0.5000
Ga: 0.6933 0.0000 0.5000
Ga: 0.8007 0.8007 0.0000
Cu: 0.0000 0.3663 0.5000
Cu: 0.3663 0.0000 0.5000
Cu: 0.6337 0.6337 0.5000

Most intense lines, 2θ = 10–90°, low angle first:
d/Å	2θ (°)	Rel. int.
6.582	13.45	24
3.800	23.41	31
2.792	32.05	100
2.488	36.11	20
2.194	41.15	49
2.129	42.45	89
2.059	43.98	41
1.936	46.93	46
1.501	61.80	27
1.356	69.29	30

[11]
Simulated PXRD pattern
Compound: Tb5Pr4Nd3
Radiation: Cu Ka
Structure: a GGA-PBE-relaxed structure
Kinematic intensities with the Lorentz-polarization factor, no thermal factor.

Crystal structure
Unit cell a=6.3098 b=7.2836 c=8.9140 alpha=89.76 beta=89.96 gamma=89.94
Fractional coordinates of all 12 atoms:
Tb: 0.0000 0.0000 0.0000
Tb: 0.1676 0.2522 0.3333
Tb: 0.3344 0.5001 0.6655
Tb: 0.6656 0.4999 0.3345
Tb: 0.8324 0.7478 0.6667
Pr: 0.1660 0.7484 0.3338
Pr: 0.3314 0.9994 0.6668
Pr: 0.6686 0.0006 0.3332
Pr: 0.8340 0.2516 0.6662
Nd: 0.0000 0.5000 0.0000
Nd: 0.4984 0.2513 0.0008
Nd: 0.5016 0.7487 0.9992

Most intense lines, 2θ = 10–90°, low angle first:
d/Å	2θ (°)	Rel. int.
2.973	30.06	100
2.577	34.82	34
2.571	34.90	17
1.822	50.07	24
1.818	50.17	12
1.554	59.48	22
1.552	59.57	14
1.550	59.67	7
1.486	62.52	9
1.182	81.41	6

[12]
Simulated PXRD pattern
Compound: Pm3Sm2Er6
Radiation: Cu Ka
Structure: a GGA-PBE-relaxed structure
Kinematic intensities with the Lorentz-polarization factor, no thermal factor.

Crystal structure
Unit cell a=6.1471 b=6.1471 c=11.6106 alpha=95.08 beta=95.08 gamma=120.08
Fractional coordinates of all 11 atoms:
Pm: 0.0000 0.0000 0.0000
Pm: 0.3358 0.6642 0.0000
Pm: 0.6642 0.3358 0.0000
Sm: 0.1666 0.8334 0.5000
Sm: 0.8334 0.1666 0.5000
Er: 0.0839 0.4170 0.2511
Er: 0.2501 0.2501 0.7490
Er: 0.4170 0.0839 0.2511
Er: 0.5830 0.9161 0.7489
Er: 0.7499 0.7499 0.2510
Er: 0.9161 0.5830 0.7489

Most intense lines, 2θ = 10–90°, low angle first:
d/Å	2θ (°)	Rel. int.
2.892	30.92	100
2.857	31.31	32
2.497	35.97	67
1.775	51.47	8
1.773	51.54	16
1.757	52.04	23
1.513	61.27	10
1.507	61.54	28
1.497	61.98	9
1.446	64.43	12